Li3VOF5: theoretical X-ray diffraction stick pattern (Cu Ka), based on a crystal structure in Alexandria, relaxed with PBE+U.
No peak broadening, texture or thermal motion is included.

Main lines, in order of rising 2θ (10 to 80 degrees two-theta):
2θ 20.38, d 4.357, I 61; 2θ 20.61, d 4.309, I 28; 2θ 20.84, d 4.263, I 100; 2θ 25.22, d 3.531, I 18; 2θ 25.41, d 3.505, I 19; 2θ 32.80, d 2.731, I 30; 2θ 40.30, d 2.238, I 17; 2θ 40.47, d 2.229, I 50; 2θ 40.75, d 2.214, I 16; 2θ 52.18, d 1.753, I 28

Atomic structure:
```
Li3VOF5
1.0
5.049 0.000 0.000
-0.044 8.619 0.000
-0.073 -0.046 9.809
Li V O F
12 4 4 20
Direct
0.000 0.000 0.000
0.001 0.095 0.282
0.005 0.690 0.772
0.009 0.682 0.234
0.023 0.089 0.730
0.493 0.496 0.752
0.502 0.195 0.975
0.509 0.288 0.252
0.511 0.593 0.018
0.520 0.596 0.473
0.538 0.184 0.514
0.996 0.780 0.496
0.043 0.402 0.519
0.487 0.901 0.241
0.511 0.881 0.751
0.985 0.382 0.007
0.161 0.243 0.593
0.179 0.547 0.613
0.210 0.899 0.146
0.708 0.384 0.100
0.170 0.552 0.099
0.179 0.887 0.645
0.193 0.231 0.115
0.311 0.413 0.382
0.314 0.376 0.889
0.326 0.033 0.872
0.332 0.755 0.374
0.364 0.700 0.851
0.372 0.084 0.351
0.670 0.051 0.649
0.670 0.732 0.149
0.688 0.725 0.632
0.695 0.055 0.134
0.697 0.399 0.600
0.816 0.908 0.361
0.825 0.262 0.379
0.828 0.527 0.872
0.832 0.871 0.865
0.867 0.200 0.896
0.867 0.577 0.397
```